Calculated X-ray powder pattern
Compound: Pm3Sm6Ho
Radiation: λ = 1.5418 Å (Cu Kα)
Structure: a GGA-PBE-relaxed structure
Peak positions follow from Bragg's law for the DFT cell and can differ from measured ones.

Most intense lines, 5 to 70 degrees two-theta, low angle first:
2.984 Å, 29.94 deg, I = 84, hkl 2 2 0
2.900 Å, 30.83 deg, I = 100, hkl 3 1 -2
2.871 Å, 31.15 deg, I = 49, hkl 0 0 3
2.795 Å, 32.02 deg, I = 28, hkl 4 0 0
2.728 Å, 32.83 deg, I = 77, hkl 0 2 2
1.648 Å, 55.79 deg, I = 22, hkl 6 2 0

Atomic structure:
```
data_Pm3Sm6Ho
_cell_length_a 11.457
_cell_length_b 7.058
_cell_length_c 8.828
_cell_angle_alpha 90.00
_cell_angle_beta 102.63
_cell_angle_gamma 90.00
_space_group_name_H-M_alt 'C 1 2/m 1'
_space_group_IT_number 12
_space_group_name_Hall '-C 2y'
loop_
_atom_site_label
_atom_site_type_symbol
_atom_site_fract_x
_atom_site_fract_y
_atom_site_fract_z
Pm1 Pm 0.000 0.000 0.000
Pm2 Pm 0.037 0.500 0.842
Sm1 Sm 0.162 0.500 0.493
Sm2 Sm 0.245 0.273 0.190
Ho1 Ho 0.000 0.000 0.500
```